(1)
# RbCeMg6O8
Simulated powder X-ray diffraction pattern, Cu Kα. Input: DFT lattice parameters and positions (PBE).
Kinematic intensities with the Lorentz-polarization factor, no thermal factor.

Structural model:
```
RbCeMg6O8
1.0
4.7028 0.0000 0.0000
0.0000 4.7028 0.0000
0.0000 0.0000 9.1275
Rb Ce Mg O
1 1 6 8
Cartesian
0.0000 0.0000 0.0000
2.3514 2.3514 0.0000
0.0000 0.0000 4.5637
0.0000 2.3514 2.5310
0.0000 2.3514 6.5965
2.3514 0.0000 2.5310
2.3514 0.0000 6.5965
2.3514 2.3514 4.5637
0.0000 0.0000 2.6097
0.0000 0.0000 6.5178
0.0000 2.3514 0.0000
0.0000 2.3514 4.5637
2.3514 0.0000 0.0000
2.3514 0.0000 4.5637
2.3514 2.3514 2.4518
2.3514 2.3514 6.6757
```

Largest 10 diffraction maxima, in order of falling intensity, 10 to 90 degrees two-theta:
- 2θ 38.3, I = 100
- 2θ 33.3, I = 67
- 2θ 56.2, I = 56
- 2θ 28.6, I = 55
- 2θ 39.5, I = 54
- 2θ 19.5, I = 37
- 2θ 55.2, I = 31
- 2θ 26.8, I = 30
- 2θ 29.4, I = 26
- 2θ 70.0, I = 25



(2)
# Mg3Ti4
Simulated powder X-ray diffraction pattern, Cu Kα. Input: DFT lattice parameters and positions (PBE).
Kinematic intensities with the Lorentz-polarization factor, no thermal factor.

Structural model:
```
Mg3Ti4
1.0
8.0432 0.0000 0.0000
-4.0216 6.9656 0.0000
0.0000 0.0000 4.7245
Mg Ti
6 8
Cartesian
-0.5829 1.7224 1.1811
-2.2385 6.6093 1.1811
1.2002 1.3660 3.5433
2.8214 5.5996 1.1811
6.2601 0.3564 3.5433
4.6045 5.2432 3.5433
-1.1086 3.3832 3.5433
0.0000 4.6437 1.1811
-0.5373 6.2341 3.5433
2.3757 2.6517 1.1811
1.6459 4.3139 3.5433
4.5589 0.7316 1.1811
4.0216 2.3219 3.5433
5.1302 3.5824 1.1811
```

Largest 10 diffraction maxima, in order of falling intensity, 10 to 90 degrees two-theta:
- 2θ 39.2, I = 100
- 2θ 34.1, I = 25
- 2θ 38.1, I = 24
- 2θ 12.7, I = 21
- 2θ 74.2, I = 17
- 2θ 69.6, I = 16
- 2θ 61.0, I = 16
- 2θ 52.0, I = 14
- 2θ 74.9, I = 12
- 2θ 84.2, I = 3



(3)
# Mg6CuSi
Simulated powder X-ray diffraction pattern, Cu Kα. Input: DFT lattice parameters and positions (PBE).
Kinematic intensities with the Lorentz-polarization factor, no thermal factor.

Structural model:
```
Mg6CuSi
1.0
4.9554 0.0000 0.0000
0.0000 3.0125 5.2535
0.0000 -3.0125 5.2535
Mg Cu Si
6 1 1
Cartesian
0.0000 0.0000 0.0000
0.0000 -1.4489 7.8098
0.0000 1.4489 7.8098
2.4777 0.0000 1.7445
2.4777 -1.4797 4.4099
2.4777 1.4797 4.4099
2.4777 0.0000 7.0289
0.0000 0.0000 5.2538
```

Largest 10 diffraction maxima, in order of falling intensity, 10 to 90 degrees two-theta:
- 2θ 39.0, I = 100
- 2θ 38.8, I = 45
- 2θ 36.3, I = 39
- 2θ 16.9, I = 27
- 2θ 34.3, I = 22
- 2θ 67.0, I = 19
- 2θ 73.3, I = 18
- 2θ 24.7, I = 16
- 2θ 61.2, I = 16
- 2θ 34.1, I = 15



(4)
# BaNi12B6
Simulated powder X-ray diffraction pattern, Cu Kα. Input: DFT lattice parameters and positions (PBE).
Kinematic intensities with the Lorentz-polarization factor, no thermal factor.

Structural model:
```
BaNi12B6
1.0
4.8382 2.7934 2.4857
-4.8382 2.7934 2.4857
0.0000 -5.5867 2.4857
Ba Ni B
1 12 6
Cartesian
0.0000 0.0000 0.0000
-1.7789 -3.0811 3.7285
-3.5577 0.0000 3.7285
-1.3423 -0.7750 2.7790
1.3423 -0.7750 2.7790
0.0000 1.5499 2.7790
1.7789 -3.0811 3.7285
-1.7789 3.0811 3.7285
0.0000 -1.5499 4.6780
-1.3423 0.7750 4.6780
1.3423 0.7750 4.6780
3.5577 0.0000 3.7285
1.7789 3.0811 3.7285
0.0000 -2.3348 2.7667
-2.0220 1.1674 2.7667
-2.0220 -1.1674 4.6903
2.0220 1.1674 2.7666
2.0220 -1.1674 4.6903
0.0000 2.3348 4.6903
```

Largest 10 diffraction maxima, in order of falling intensity, 10 to 90 degrees two-theta:
- 2θ 40.7, I = 100
- 2θ 32.1, I = 70
- 2θ 40.8, I = 50
- 2θ 49.1, I = 31
- 2θ 57.1, I = 26
- 2θ 46.0, I = 19
- 2θ 60.6, I = 16
- 2θ 30.7, I = 13
- 2θ 63.1, I = 13
- 2θ 49.9, I = 12



(5)
# Tb2AgIr
Simulated powder X-ray diffraction pattern, Cu Kα. Input: DFT lattice parameters and positions (PBE).
Kinematic intensities with the Lorentz-polarization factor, no thermal factor.

Structural model:
```
Tb2AgIr
1.0
0.0000 3.5338 3.5338
3.5338 0.0000 3.5338
3.5338 3.5338 0.0000
Tb Ag Ir
2 1 1
Cartesian
1.7669 1.7669 1.7669
5.3007 5.3007 5.3007
0.0000 0.0000 0.0000
3.5338 3.5338 3.5338
```

Largest 10 diffraction maxima, in order of falling intensity, 10 to 90 degrees two-theta:
- 2θ 35.9, I = 100
- 2θ 64.6, I = 36
- 2θ 51.7, I = 18
- 2θ 87.2, I = 16
- 2θ 76.2, I = 11
- 2θ 21.8, I = 3
- 2θ 42.4, I = 2
- 2θ 56.8, I = 1
- 2θ 80.4, I = 1
- 2θ 69.1, I = 1



(6)
# TbAs
Simulated powder X-ray diffraction pattern, Cu Kα. Input: DFT lattice parameters and positions (PBE).
Kinematic intensities with the Lorentz-polarization factor, no thermal factor.

Structural model:
```
TbAs
1.0
0.0000 2.9269 2.9269
2.9269 0.0000 2.9269
2.9269 2.9269 0.0000
Tb As
1 1
Cartesian
0.0000 0.0000 0.0000
2.9269 2.9269 2.9269
```

Largest 10 diffraction maxima, in order of falling intensity, 10 to 90 degrees two-theta:
- 2θ 30.5, I = 100
- 2θ 43.7, I = 75
- 2θ 72.2, I = 34
- 2θ 54.3, I = 26
- 2θ 80.4, I = 25
- 2θ 26.4, I = 22
- 2θ 63.6, I = 12
- 2θ 51.8, I = 11
- 2θ 70.1, I = 4
- 2θ 86.4, I = 4



(7)
# Er2B6Rh
Simulated powder X-ray diffraction pattern, Cu Kα. Input: DFT lattice parameters and positions (PBE).
Kinematic intensities with the Lorentz-polarization factor, no thermal factor.

Structural model:
```
Er2B6Rh
1.0
9.1459 0.0000 0.0000
0.0000 11.4669 0.0000
0.0000 0.0000 3.6407
Er B Rh
8 24 4
Cartesian
0.5046 1.4457 0.0000
1.6256 4.7394 0.0000
2.9474 10.4728 0.0000
4.0684 7.1792 0.0000
5.0775 4.2877 0.0000
6.1985 0.9941 0.0000
7.5203 6.7275 0.0000
8.6414 10.0211 0.0000
0.1512 3.3011 1.8204
0.4894 6.4896 1.8204
1.0108 11.1191 1.8204
1.2227 9.3522 1.8204
1.8779 2.6925 1.8204
2.2804 0.9102 1.8204
2.2926 6.6437 1.8204
2.6950 8.4259 1.8204
3.3503 3.6188 1.8204
3.5621 5.3857 1.8204
4.0835 0.7561 1.8204
4.4218 9.0345 1.8204
4.7242 2.4324 1.8204
5.0624 10.7107 1.8204
5.5838 6.0812 1.8204
5.7956 7.8481 1.8204
6.4509 3.0410 1.8204
6.8533 4.8232 1.8204
6.8656 10.5567 1.8204
7.2680 8.7744 1.8204
7.9233 2.1147 1.8204
8.1351 0.3478 1.8204
8.6565 4.9773 1.8204
8.9947 8.1658 1.8204
1.2794 7.7777 0.0000
3.2936 2.0442 0.0000
5.8523 9.4226 0.0000
7.8666 3.6892 0.0000
```

Largest 10 diffraction maxima, in order of falling intensity, 10 to 90 degrees two-theta:
- 2θ 24.4, I = 100
- 2θ 39.3, I = 52
- 2θ 39.5, I = 44
- 2θ 30.3, I = 40
- 2θ 30.5, I = 36
- 2θ 40.0, I = 33
- 2θ 41.7, I = 33
- 2θ 41.3, I = 31
- 2θ 31.2, I = 27
- 2θ 33.3, I = 26



(8)
# Ba2TmPaO6
Simulated powder X-ray diffraction pattern, Cu Kα. Input: DFT lattice parameters and positions (PBE).
Kinematic intensities with the Lorentz-polarization factor, no thermal factor.

Structural model:
```
Ba2TmPaO6
1.0
0.0000 4.4037 4.4037
4.4037 0.0000 4.4037
4.4037 4.4037 0.0000
Ba Tm Pa O
2 1 1 6
Cartesian
2.2019 2.2019 2.2019
6.6056 6.6056 6.6056
0.0000 0.0000 0.0000
4.4037 4.4037 4.4037
4.4037 4.4037 2.2209
4.4037 2.2209 4.4037
6.5866 4.4037 4.4037
2.2209 4.4037 4.4037
4.4037 6.5866 4.4037
4.4037 4.4037 6.5866
```

Largest 10 diffraction maxima, in order of falling intensity, 10 to 90 degrees two-theta:
- 2θ 28.7, I = 100
- 2θ 50.8, I = 42
- 2θ 41.0, I = 28
- 2θ 81.8, I = 22
- 2θ 67.2, I = 19
- 2θ 59.4, I = 18
- 2θ 20.2, I = 8
- 2θ 74.7, I = 6
- 2θ 46.1, I = 4
- 2θ 88.9, I = 3



(9)
# CaMn2S4
Simulated powder X-ray diffraction pattern, Cu Kα. Input: DFT lattice parameters and positions (PBE).
Kinematic intensities with the Lorentz-polarization factor, no thermal factor.

Structural model:
```
CaMn2S4
1.0
-3.6240 3.8633 5.2805
3.6240 -3.8633 5.2805
3.6240 3.8633 -5.2805
Ca Mn S
2 4 8
Cartesian
0.0000 0.0000 0.0000
0.0000 3.8633 0.0000
3.6240 0.0000 0.0000
-1.8120 1.9316 2.6403
0.0000 0.0000 5.2805
1.8120 1.9316 2.6403
1.9329 1.9316 0.2299
5.3152 1.9316 0.2299
3.6240 0.3402 2.5526
0.0000 0.3402 2.7280
3.6240 3.5231 2.5526
0.0000 3.5231 2.7280
-1.6912 1.9316 5.0506
1.6912 1.9316 5.0506
```

Largest 10 diffraction maxima, in order of falling intensity, 10 to 90 degrees two-theta:
- 2θ 33.9, I = 100
- 2θ 14.2, I = 57
- 2θ 48.7, I = 40
- 2θ 50.4, I = 12
- 2θ 44.0, I = 10
- 2θ 47.0, I = 10
- 2θ 62.1, I = 9
- 2θ 59.3, I = 9
- 2θ 81.4, I = 8
- 2θ 71.4, I = 7



(10)
# Hf6Zn6N
Simulated powder X-ray diffraction pattern, Cu Kα. Input: DFT lattice parameters and positions (PBE).
Kinematic intensities with the Lorentz-polarization factor, no thermal factor.

Structural model:
```
Hf6Zn6N
1.0
0.0000 5.9911 5.9911
5.9911 0.0000 5.9911
5.9911 5.9911 0.0000
Hf Zn N
12 12 2
Cartesian
4.4933 4.4933 0.7733
4.4933 0.7733 4.4933
8.2134 4.4933 4.4933
7.4889 7.4889 3.7688
7.4889 3.7688 7.4889
11.2090 7.4889 7.4889
0.7733 4.4933 4.4933
4.4933 8.2134 4.4933
4.4933 4.4933 8.2134
3.7688 7.4889 7.4889
7.4889 11.2090 7.4889
7.4889 7.4889 11.2090
5.9911 2.9956 2.9956
3.5076 3.5076 3.5076
5.4791 5.4791 3.5076
5.4791 3.5076 5.4791
8.4747 6.5032 6.5032
2.9956 5.9911 2.9956
2.9956 2.9956 5.9911
5.9911 5.9911 5.9911
3.5076 5.4791 5.4791
6.5032 8.4747 6.5032
6.5032 6.5032 8.4747
8.4747 8.4747 8.4747
1.4978 1.4978 1.4978
10.4845 10.4845 10.4845
```

Largest 10 diffraction maxima, in order of falling intensity, 10 to 90 degrees two-theta:
- 2θ 39.1, I = 100
- 2θ 36.7, I = 49
- 2θ 66.2, I = 46
- 2θ 32.6, I = 26
- 2θ 42.7, I = 22
- 2θ 79.6, I = 18
- 2θ 29.8, I = 16
- 2θ 54.7, I = 11
- 2θ 67.7, I = 11
- 2θ 63.6, I = 11